# 1
Computed PXRD pattern
Compound: Li3Sn7
Radiation: Cu Kα
Structure: DFT lattice parameters and positions (GGA-PBE)
No peak broadening, texture or thermal motion is included.

The 8 most intense peaks (2θ from 10° to 90°), by angle:
- 2θ = 17.5°, d = 5.059 Å, rel. 424
- 2θ = 29.4°, d = 3.035 Å, rel. 768
- 2θ = 29.8°, d = 2.998 Å, rel. 691
- 2θ = 32.8°, d = 2.727 Å, rel. 1000
- 2θ = 35.5°, d = 2.530 Å, rel. 989
- 2θ = 36.6°, d = 2.452 Å, rel. 871
- 2θ = 39.4°, d = 2.289 Å, rel. 434
- 2θ = 57.9°, d = 1.592 Å, rel. 398

Cell and atoms:
Unit cell a=9.158 b=9.158 c=6.570 alpha=90.00 beta=90.00 gamma=120.00
Positions (direct):
Li  0.213  0.426  0.000
Li  0.213  0.787  0.000
Li  0.426  0.213  0.500
Li  0.574  0.787  0.000
Li  0.787  0.213  0.500
Li  0.787  0.574  0.500
Sn  0.047  0.523  0.306
Sn  0.119  0.239  0.502
Sn  0.119  0.881  0.502
Sn  0.239  0.119  0.002
Sn  0.333  0.667  0.656
Sn  0.477  0.523  0.306
Sn  0.477  0.953  0.306
Sn  0.523  0.047  0.806
Sn  0.523  0.477  0.806
Sn  0.667  0.333  0.156
Sn  0.761  0.881  0.502
Sn  0.881  0.119  0.002
Sn  0.881  0.761  0.002
Sn  0.953  0.477  0.806

***

# 2
Computed PXRD pattern
Compound: Dy8Ir5Au
Radiation: Cu Kα
Structure: DFT lattice parameters and positions (GGA-PBE)
No peak broadening, texture or thermal motion is included.

The 8 most intense peaks (2θ from 10° to 90°), by angle:
- 2θ = 32.7°, d = 2.740 Å, rel. 1000
- 2θ = 32.9°, d = 2.724 Å, rel. 488
- 2θ = 38.9°, d = 2.313 Å, rel. 587
- 2θ = 39.1°, d = 2.306 Å, rel. 244
- 2θ = 46.9°, d = 1.936 Å, rel. 150
- 2θ = 49.4°, d = 1.843 Å, rel. 180
- 2θ = 66.5°, d = 1.405 Å, rel. 193
- 2θ = 81.7°, d = 1.179 Å, rel. 131

Cell and atoms:
Unit cell a=7.488 b=7.488 c=7.488 alpha=109.29 beta=109.29 gamma=109.84
Positions (direct):
Dy  0.120  0.367  0.626
Dy  0.121  0.366  0.109
Dy  0.257  0.012  0.891
Dy  0.506  0.880  0.247
Dy  0.633  0.259  0.753
Dy  0.634  0.743  0.755
Dy  0.741  0.494  0.374
Dy  0.988  0.879  0.245
Ir  0.009  0.632  0.883
Ir  0.368  0.251  0.377
Ir  0.500  0.500  0.000
Ir  0.749  0.125  0.117
Ir  0.875  0.991  0.623
Au  0.250  0.750  0.500

***

# 3
Computed PXRD pattern
Compound: KZrTa2O8
Radiation: Cu Kα
Structure: DFT lattice parameters and positions (GGA-PBE)
No peak broadening, texture or thermal motion is included.

The 8 most intense peaks (2θ from 10° to 90°), by angle:
- 2θ = 17.1°, d = 5.200 Å, rel. 462
- 2θ = 19.7°, d = 4.500 Å, rel. 1000
- 2θ = 20.0°, d = 4.448 Å, rel. 632
- 2θ = 21.0°, d = 4.227 Å, rel. 308
- 2θ = 27.8°, d = 3.204 Å, rel. 477
- 2θ = 28.3°, d = 3.155 Å, rel. 503
- 2θ = 32.1°, d = 2.792 Å, rel. 493
- 2θ = 33.1°, d = 2.706 Å, rel. 298

Cell and atoms:
Unit cell a=5.576 b=5.576 c=7.372 alpha=100.49 beta=100.49 gamma=70.16
Positions (direct):
K  0.000  0.000  0.000
Zr  0.000  0.000  0.500
Ta  0.426  0.426  0.786
Ta  0.574  0.574  0.214
O  0.208  0.734  0.692
O  0.227  0.227  0.631
O  0.266  0.792  0.308
O  0.365  0.365  0.017
O  0.635  0.635  0.983
O  0.734  0.208  0.692
O  0.773  0.773  0.369
O  0.792  0.266  0.308